For CaV6O11F, a PBE+U-relaxed structure gives the theoretical X-ray powder pattern in this record (λ = 1.5418 Å (Cu Kα)).

Cell and atoms:
```
data_CaV6O11F
_chemical_formula_sum 'Ca1 V6 O11 F1'
_cell_length_a 5.122
_cell_length_b 5.204
_cell_length_c 10.111
_cell_angle_alpha 90.05
_cell_angle_beta 99.63
_cell_angle_gamma 106.06
_space_group_name_H-M_alt 'P 1'
_space_group_IT_number 1
loop_
_space_group_symop_operation_xyz
'x,y,z'
loop_
_atom_site_label
_atom_site_fract_x
_atom_site_fract_y
_atom_site_fract_z
Ca1 0.000 0.000 0.000
V1 0.254 0.539 0.238
V2 0.354 0.822 0.801
V3 0.431 0.604 0.528
V4 0.706 0.379 0.064
V5 0.747 0.191 0.353
V6 0.912 0.169 0.638
O1 0.061 0.004 0.778
O2 0.075 0.619 0.067
O3 0.097 0.496 0.397
O4 0.180 0.493 0.679
O5 0.521 0.352 0.217
O6 0.531 0.849 0.352
O7 0.553 0.086 0.942
O8 0.564 0.915 0.652
O9 0.659 0.356 0.520
O10 0.926 0.180 0.193
O11 0.999 0.037 0.507
F1 0.603 0.618 0.909
```

Main lines, by intensity (2θ from 5° to 70°):
hkl	d_spacing	I_rel
1 -1 0	4.100	100
1 1 0	3.074	94
-1 1 1	3.943	81
1 0 -2	3.822	59
0 1 1	4.378	58
0 1 -1	4.556	55
1 -1 3	2.455	55
1 0 -3	2.992	39
-1 2 1	2.472	39
2 -2 2	1.829	38